(1)
# Er8TcPd2
Simulated X-ray powder pattern, Cu Kα X-rays. Input: a cell relaxed with GGA-PBE.

Structure:
```
data_Er8TcPd2
_cell_length_a 17.0079
_cell_length_b 5.0380
_cell_length_c 6.7778
_cell_angle_alpha 90.00
_cell_angle_beta 107.49
_cell_angle_gamma 90.00
_symmetry_space_group_name_H-M 'C 1 2/m 1'
_symmetry_Int_Tables_number 12
_symmetry_space_group_name_Hall '-C 2y'
loop_
_atom_site_label
_atom_site_fract_x
_atom_site_fract_y
_atom_site_fract_z
_atom_site_occupancy
Er1 0.0302 0.0000 0.2942 1
Er2 0.0921 0.5000 0.9411 1
Er3 0.1650 0.5000 0.4661 1
Er4 0.1985 0.0000 0.8080 1
Tc1 0.0000 0.5000 0.5000 1
Pd1 0.1870 0.0000 0.2055 1
```

Peak list (6 most intense, 10 to 80 degrees two-theta, in order of falling intensity)
hkl 0 2 0, 2θ 35.6, I 100
hkl 5 1 -1, 2θ 32.2, I 87
hkl 1 1 2, 2θ 34.8, I 77
hkl 5 1 0, 2θ 32.8, I 73
hkl 3 1 1, 2θ 30.3, I 70
hkl 1 1 -2, 2θ 32.0, I 60

(2)
# TbPm2Y4Mg
Simulated X-ray powder pattern, Cu Kα X-rays. Input: a cell relaxed with GGA-PBE.

Structure:
```
data_TbPm2Y4Mg
_cell_length_a 4.9947
_cell_length_b 5.0063
_cell_length_c 10.1667
_cell_angle_alpha 90.00
_cell_angle_beta 90.00
_cell_angle_gamma 90.00
_symmetry_space_group_name_H-M 'P m m m'
_symmetry_Int_Tables_number 47
_symmetry_space_group_name_Hall '-P 2 2'
loop_
_atom_site_label
_atom_site_fract_x
_atom_site_fract_y
_atom_site_fract_z
_atom_site_occupancy
Tb1 0.0000 0.0000 0.0000 1
Pm1 0.0000 0.0000 0.5000 1
Pm2 0.5000 0.5000 0.0000 1
Y1 0.0000 0.5000 0.2521 1
Y2 0.5000 0.0000 0.2520 1
Mg1 0.5000 0.5000 0.5000 1
```

Peak list (6 most intense, 10 to 80 degrees two-theta, in order of falling intensity)
hkl 1 1 2, 2θ 30.8, I 100
hkl 2 0 0, 2θ 35.9, I 33
hkl 2 0 4, 2θ 51.3, I 24
hkl 0 0 4, 2θ 35.3, I 17
hkl 1 1 6, 2θ 60.6, I 14
hkl 1 3 2, 2θ 61.3, I 14

(3)
# Nd4Dy3Au4
Simulated X-ray powder pattern, Cu Kα X-rays. Input: a cell relaxed with GGA-PBE.

Structure:
```
data_Nd4Dy3Au4
_cell_length_a 3.7948
_cell_length_b 9.3132
_cell_length_c 17.4770
_cell_angle_alpha 90.00
_cell_angle_beta 90.00
_cell_angle_gamma 90.00
_symmetry_space_group_name_H-M 'I m m m'
_symmetry_Int_Tables_number 71
_symmetry_space_group_name_Hall '-I 2 2'
loop_
_atom_site_label
_atom_site_fract_x
_atom_site_fract_y
_atom_site_fract_z
_atom_site_occupancy
Nd1 0.0000 0.1845 0.1607 1
Dy1 0.0000 0.0000 0.3991 1
Dy2 0.0000 0.5000 0.5000 1
Au1 0.0000 0.3217 0.0000 1
Au2 0.0000 0.5000 0.2380 1
```

Peak list (6 most intense, 10 to 80 degrees two-theta, in order of falling intensity)
hkl 0 3 3, 2θ 32.7, I 100
hkl 1 2 1, 2θ 30.8, I 40
hkl 1 5 4, 2θ 59.2, I 33
hkl 1 3 2, 2θ 38.9, I 32
hkl 0 2 6, 2θ 36.4, I 21
hkl 1 0 5, 2θ 34.9, I 16

(4)
# Nd6Hg4Pb7
Simulated X-ray powder pattern, Cu Kα X-rays. Input: a cell relaxed with GGA-PBE.

Structure:
```
data_Nd6Hg4Pb7
_cell_length_a 10.2233
_cell_length_b 10.2233
_cell_length_c 10.2233
_cell_angle_alpha 90.00
_cell_angle_beta 90.00
_cell_angle_gamma 90.00
_symmetry_space_group_name_H-M 'I m -3 m'
_symmetry_Int_Tables_number 229
_symmetry_space_group_name_Hall '-I 4 2 3'
loop_
_atom_site_label
_atom_site_fract_x
_atom_site_fract_y
_atom_site_fract_z
_atom_site_occupancy
Nd1 0.0000 0.0000 0.2974 1
Hg1 0.2500 0.2500 0.2500 1
Pb1 0.0000 0.0000 0.0000 1
Pb2 0.0000 0.2500 0.5000 1
```

Peak list (6 most intense, 10 to 80 degrees two-theta, in order of falling intensity)
hkl 2 2 2, 2θ 30.3, I 100
hkl 4 0 0, 2θ 35.1, I 67
hkl 4 4 0, 2θ 50.5, I 43
hkl 6 2 2, 2θ 60.0, I 35
hkl 3 2 1, 2θ 32.8, I 20
hkl 3 3 2, 2θ 41.4, I 14

(5)
# Cs3ZrS4
Simulated X-ray powder pattern, Cu Kα X-rays. Input: a cell relaxed with GGA-PBE.

Structure:
```
data_Cs3ZrS4
_cell_length_a 12.8012
_cell_length_b 8.5743
_cell_length_c 8.4981
_cell_angle_alpha 90.00
_cell_angle_beta 129.10
_cell_angle_gamma 90.00
_symmetry_space_group_name_H-M 'C 1 2 1'
_symmetry_Int_Tables_number 5
_symmetry_space_group_name_Hall 'C 2y'
loop_
_atom_site_label
_atom_site_fract_x
_atom_site_fract_y
_atom_site_fract_z
_atom_site_occupancy
Cs1 0.0000 0.0000 0.0000 1
Cs2 0.2464 0.5317 0.2524 1
Zr1 0.0000 0.5671 0.5000 1
S1 0.0876 0.7300 0.7923 1
S2 0.1715 0.4009 0.5515 1
```

Peak list (6 most intense, 10 to 80 degrees two-theta, in order of falling intensity)
hkl 1 1 1, 2θ 22.8, I 100
hkl 3 1 -1, 2θ 23.5, I 90
hkl 2 2 -2, 2θ 29.6, I 60
hkl 2 0 -2, 2θ 20.9, I 50
hkl 0 2 0, 2θ 20.7, I 46
hkl 1 1 -3, 2θ 37.4, I 34

(6)
# Sr2TlHg2Bi2
Simulated X-ray powder pattern, Cu Kα X-rays. Input: a cell relaxed with GGA-PBE.

Structure:
```
data_Sr2TlHg2Bi2
_cell_length_a 5.5339
_cell_length_b 5.5339
_cell_length_c 27.1184
_cell_angle_alpha 90.00
_cell_angle_beta 90.00
_cell_angle_gamma 120.00
_symmetry_space_group_name_H-M 'R -3 m'
_symmetry_Int_Tables_number 166
_symmetry_space_group_name_Hall '-R 3 2"'
loop_
_atom_site_label
_atom_site_fract_x
_atom_site_fract_y
_atom_site_fract_z
_atom_site_occupancy
Sr1 0.0000 0.0000 0.1272 1
Tl1 0.0000 0.0000 0.0000 1
Hg1 0.0000 0.0000 0.4389 1
Bi1 0.0000 0.0000 0.2635 1
```

Peak list (6 most intense, 10 to 80 degrees two-theta, in order of falling intensity)
hkl 1 1 0, 2θ 32.4, I 100
hkl 1 0 7, 2θ 29.7, I 76
hkl 0 2 7, 2θ 44.5, I 33
hkl 3 0 0, 2θ 57.7, I 30
hkl 1 0 4, 2θ 22.7, I 29
hkl 2 1 7, 2θ 56.0, I 24

(7)
# Mg3BiPt12
Simulated X-ray powder pattern, Cu Kα X-rays. Input: a cell relaxed with GGA-PBE.

Structure:
```
data_Mg3BiPt12
_cell_length_a 3.9994
_cell_length_b 3.9994
_cell_length_c 16.1621
_cell_angle_alpha 90.00
_cell_angle_beta 90.00
_cell_angle_gamma 90.00
_symmetry_space_group_name_H-M 'P 4/m m m'
_symmetry_Int_Tables_number 123
_symmetry_space_group_name_Hall '-P 4 2'
loop_
_atom_site_label
_atom_site_fract_x
_atom_site_fract_y
_atom_site_fract_z
_atom_site_occupancy
Mg1 0.0000 0.0000 0.0000 1
Mg2 0.0000 0.0000 0.2408 1
Bi1 0.0000 0.0000 0.5000 1
Pt1 0.0000 0.5000 0.1210 1
Pt2 0.0000 0.5000 0.3628 1
Pt3 0.5000 0.5000 0.0000 1
Pt4 0.5000 0.5000 0.2428 1
Pt5 0.5000 0.5000 0.5000 1
```

Peak list (6 most intense, 10 to 80 degrees two-theta, in order of falling intensity)
hkl 1 1 4, 2θ 38.9, I 100
hkl 2 0 0, 2θ 45.4, I 34
hkl 3 1 4, 2θ 79.4, I 27
hkl 2 0 8, 2θ 65.7, I 20
hkl 0 0 8, 2θ 44.9, I 15
hkl 2 2 0, 2θ 66.1, I 11

(8)
# KInPtCl6
Simulated X-ray powder pattern, Cu Kα X-rays. Input: a cell relaxed with GGA-PBE.

Structure:
```
data_KInPtCl6
_cell_length_a 6.6522
_cell_length_b 6.6522
_cell_length_c 6.9872
_cell_angle_alpha 90.00
_cell_angle_beta 90.00
_cell_angle_gamma 120.00
_symmetry_space_group_name_H-M 'P 3 1 2'
_symmetry_Int_Tables_number 149
_symmetry_space_group_name_Hall 'P 3 2'
loop_
_atom_site_label
_atom_site_fract_x
_atom_site_fract_y
_atom_site_fract_z
_atom_site_occupancy
K1 0.0000 0.0000 0.0000 1
In1 0.6667 0.3333 0.5000 1
Pt1 0.3333 0.6667 0.5000 1
Cl1 0.0018 0.3686 0.7061 1
```

Peak list (6 most intense, 10 to 80 degrees two-theta, in order of falling intensity)
hkl 0 0 1, 2θ 12.7, I 100
hkl 1 0 1, 2θ 20.0, I 91
hkl 2 -1 2, 2θ 37.3, I 81
hkl 2 -1 1, 2θ 29.7, I 65
hkl 1 0 0, 2θ 15.4, I 42
hkl 1 1 0, 2θ 26.8, I 29

(9)
# Cs2TiNiBr6
Simulated X-ray powder pattern, Cu Kα X-rays. Input: a cell relaxed with GGA-PBE.

Structure:
```
data_Cs2TiNiBr6
_cell_length_a 7.6519
_cell_length_b 7.6519
_cell_length_c 10.4366
_cell_angle_alpha 90.00
_cell_angle_beta 90.00
_cell_angle_gamma 90.00
_symmetry_space_group_name_H-M 'I 4/m m m'
_symmetry_Int_Tables_number 139
_symmetry_space_group_name_Hall '-I 4 2'
loop_
_atom_site_label
_atom_site_fract_x
_atom_site_fract_y
_atom_site_fract_z
_atom_site_occupancy
Cs1 0.0000 0.5000 0.2500 1
Ti1 0.0000 0.0000 0.0000 1
Ni1 0.0000 0.0000 0.5000 1
Br1 0.0000 0.0000 0.2571 1
Br2 0.2422 0.2422 0.0000 1
```

Peak list (6 most intense, 10 to 80 degrees two-theta, in order of falling intensity)
hkl 2 0 2, 2θ 28.9, I 100
hkl 2 2 0, 2θ 33.1, I 64
hkl 2 2 4, 2θ 48.5, I 42
hkl 4 2 2, 2θ 56.6, I 29
hkl 0 0 4, 2θ 34.4, I 29
hkl 4 0 0, 2θ 47.5, I 22

(10)
# SmTa3
Simulated X-ray powder pattern, Cu Kα X-rays. Input: a cell relaxed with GGA-PBE.

Structure:
```
data_SmTa3
_cell_length_a 6.8979
_cell_length_b 6.8979
_cell_length_c 6.8979
_cell_angle_alpha 90.00
_cell_angle_beta 90.00
_cell_angle_gamma 90.00
_symmetry_space_group_name_H-M 'F m -3 m'
_symmetry_Int_Tables_number 225
_symmetry_space_group_name_Hall '-F 4 2 3'
loop_
_atom_site_label
_atom_site_fract_x
_atom_site_fract_y
_atom_site_fract_z
_atom_site_occupancy
Sm1 0.0000 0.0000 0.0000 1
Ta1 0.0000 0.0000 0.5000 1
Ta2 0.2500 0.2500 0.2500 1
```

Peak list (4 most intense, 10 to 80 degrees two-theta, in order of falling intensity)
hkl 2 2 0, 2θ 36.9, I 100
hkl 4 2 2, 2θ 66.4, I 36
hkl 4 0 0, 2θ 53.1, I 18
hkl 4 4 0, 2θ 78.4, I 11

(11)
# ScFe2Mo2
Simulated X-ray powder pattern, Cu Kα X-rays. Input: a cell relaxed with GGA-PBE.

Structure:
```
data_ScFe2Mo2
_cell_length_a 7.1519
_cell_length_b 7.1519
_cell_length_c 2.8738
_cell_angle_alpha 90.00
_cell_angle_beta 90.00
_cell_angle_gamma 90.00
_symmetry_space_group_name_H-M 'P 4/m b m'
_symmetry_Int_Tables_number 127
_symmetry_space_group_name_Hall '-P 4 2ab'
loop_
_atom_site_label
_atom_site_fract_x
_atom_site_fract_y
_atom_site_fract_z
_atom_site_occupancy
Sc1 0.0000 0.0000 0.0000 1
Fe1 0.1259 0.3741 0.0000 1
Mo1 0.1669 0.6669 0.5000 1
```

Peak list (6 most intense, 10 to 80 degrees two-theta, in order of falling intensity)
hkl 2 1 1, 2θ 42.3, I 100
hkl 3 1 0, 2θ 39.9, I 45
hkl 2 0 1, 2θ 40.3, I 22
hkl 1 1 0, 2θ 17.5, I 18
hkl 5 2 1, 2θ 79.5, I 15
hkl 4 1 1, 2θ 62.5, I 13

(12)
# Sr2PrCu2Bi2O8
Simulated X-ray powder pattern, Cu Kα X-rays. Input: a cell relaxed with GGA-PBE.

Structure:
```
data_Sr2PrCu2Bi2O8
_cell_length_a 3.8270
_cell_length_b 3.8270
_cell_length_c 30.9750
_cell_angle_alpha 90.00
_cell_angle_beta 90.00
_cell_angle_gamma 90.00
_symmetry_space_group_name_H-M 'I 4/m m m'
_symmetry_Int_Tables_number 139
_symmetry_space_group_name_Hall '-I 4 2'
loop_
_atom_site_label
_atom_site_fract_x
_atom_site_fract_y
_atom_site_fract_z
_atom_site_occupancy
Sr1 0.0000 0.0000 0.1153 1
Pr1 0.0000 0.0000 0.0000 1
Cu1 0.0000 0.0000 0.4449 1
Bi1 0.0000 0.0000 0.2963 1
O1 0.0000 0.0000 0.2018 1
O2 0.0000 0.0000 0.3648 1
O3 0.0000 0.5000 0.0520 1
```

Peak list (6 most intense, 10 to 80 degrees two-theta, in order of falling intensity)
hkl 1 0 7, 2θ 30.9, I 100
hkl 1 1 0, 2θ 33.1, I 84
hkl 1 0 5, 2θ 27.4, I 44
hkl 2 0 0, 2θ 47.5, I 39
hkl 1 0 3, 2θ 24.8, I 37
hkl 2 1 7, 2θ 57.8, I 36